(1)
Computed powder X-ray diffraction pattern
Compound: Bi2Se
Radiation: CuKα
Structure: DFT lattice parameters and positions (PBE)
Kinematic intensities with the Lorentz-polarization factor, no thermal factor.

```
data_Bi2Se
_chemical_formula_sum 'Bi8 Se4'
_space_group_name_H-M_alt 'P -3 m 1'
_space_group_IT_number 164
_space_group_name_Hall '-P 3 2"'
_cell_length_a 4.2334
_cell_length_b 4.2334
_cell_length_c 24.4481
_cell_angle_alpha 90.00
_cell_angle_beta 90.00
_cell_angle_gamma 120.00
loop_
_atom_site_label
_atom_site_fract_x
_atom_site_fract_y
_atom_site_fract_z
Bi1 0.0000 0.0000 0.1337
Bi2 0.3333 0.6667 0.0534
Bi3 0.3333 0.6667 0.2960
Bi4 0.3333 0.6667 0.5397
Se1 0.0000 0.0000 0.3641
Se2 0.3333 0.6667 0.7759
```

Principal peaks in the range 2θ from 10° to 80°, by angle:
- 4.890 Å, 2θ = 18.1°, I 9.1, (0 0 5)
- 3.626 Å, 2θ = 24.6°, I 7.8, (0 1 1)
- 3.144 Å, 2θ = 28.4°, I 100.0, (1 0 4)
- 2.347 Å, 2θ = 38.3°, I 38.8, (0 1 8)
- 2.117 Å, 2θ = 42.7°, I 35.3, (1 1 0)
- 1.756 Å, 2θ = 52.1°, I 19.2, (0 2 4)
- 1.572 Å, 2θ = 58.7°, I 11.4, (2 0 8)
- 1.468 Å, 2θ = 63.4°, I 14.2, (1 1 12)
- 1.351 Å, 2θ = 69.6°, I 16.5, (2 1 4)
- 1.262 Å, 2θ = 75.3°, I 11.3, (1 2 8)



(2)
Computed powder X-ray diffraction pattern
Compound: NaEr3
Radiation: CuKα
Structure: DFT lattice parameters and positions (PBE)
Kinematic intensities with the Lorentz-polarization factor, no thermal factor.

```
data_NaEr3
_chemical_formula_sum 'Na4 Er12'
_space_group_name_H-M_alt 'F m -3 m'
_space_group_IT_number 225
_space_group_name_Hall '-F 4 2 3'
_cell_length_a 7.8922
_cell_length_b 7.8922
_cell_length_c 7.8922
_cell_angle_alpha 90.00
_cell_angle_beta 90.00
_cell_angle_gamma 90.00
loop_
_atom_site_label
_atom_site_fract_x
_atom_site_fract_y
_atom_site_fract_z
Na1 0.0000 0.0000 0.0000
Er1 0.0000 0.0000 0.5000
Er2 0.2500 0.2500 0.2500
```

Principal peaks in the range 2θ from 10° to 80°, by angle:
- 4.557 Å, 2θ = 19.5°, I 16.5, (1 1 1)
- 3.946 Å, 2θ = 22.5°, I 8.8, (2 0 0)
- 2.790 Å, 2θ = 32.1°, I 100.0, (2 2 0)
- 2.380 Å, 2θ = 37.8°, I 9.4, (3 1 1)
- 1.973 Å, 2θ = 46.0°, I 18.5, (4 0 0)
- 1.811 Å, 2θ = 50.4°, I 4.2, (3 3 1)
- 1.765 Å, 2θ = 51.8°, I 3.9, (4 2 0)
- 1.611 Å, 2θ = 57.2°, I 38.8, (4 2 2)
- 1.395 Å, 2θ = 67.1°, I 12.0, (4 4 0)
- 1.248 Å, 2θ = 76.3°, I 16.5, (6 2 0)



(3)
Computed powder X-ray diffraction pattern
Compound: CaAu3
Radiation: CuKα
Structure: DFT lattice parameters and positions (PBE)
Kinematic intensities with the Lorentz-polarization factor, no thermal factor.

```
data_CaAu3
_chemical_formula_sum 'Ca4 Au12'
_space_group_name_H-M_alt 'F m -3 m'
_space_group_IT_number 225
_space_group_name_Hall '-F 4 2 3'
_cell_length_a 6.9490
_cell_length_b 6.9490
_cell_length_c 6.9490
_cell_angle_alpha 90.00
_cell_angle_beta 90.00
_cell_angle_gamma 90.00
loop_
_atom_site_label
_atom_site_fract_x
_atom_site_fract_y
_atom_site_fract_z
Ca1 0.0000 0.0000 0.0000
Au1 0.0000 0.0000 0.5000
Au2 0.2500 0.2500 0.2500
```

Principal peaks in the range 2θ from 10° to 80°, by angle:
- 4.012 Å, 2θ = 22.2°, I 13.5, (1 1 1)
- 3.475 Å, 2θ = 25.6°, I 7.2, (2 0 0)
- 2.457 Å, 2θ = 36.6°, I 100.0, (2 2 0)
- 2.095 Å, 2θ = 43.2°, I 7.8, (3 1 1)
- 1.737 Å, 2θ = 52.7°, I 17.7, (4 0 0)
- 1.594 Å, 2θ = 57.8°, I 3.4, (3 3 1)
- 1.554 Å, 2θ = 59.5°, I 3.1, (4 2 0)
- 1.418 Å, 2θ = 65.8°, I 36.3, (4 2 2)
- 1.337 Å, 2θ = 70.4°, I 2.6, (5 1 1)
- 1.228 Å, 2θ = 77.7°, I 11.5, (4 4 0)